Record 1
Starting from a DFT-relaxed cell (PBE, Alexandria), the XRD peak list of K4TmPu3Se8 was simulated for a wavelength of 1.5418 Å.
No peak broadening, texture or thermal motion is included.

Crystal structure
Cell: 8.5177 8.5177 22.9139 Å, 90.00 90.00 120.00°
Space group R-3m (No. 166, hexagonal axes)
Symmetry-distinct sites (fractional):
K1 0.0000 0.0000 0.0000 (multiplicity 3)
K2 0.0000 0.5000 0.0000 (multiplicity 9)
Tm1 0.0000 0.0000 0.5000 (multiplicity 3)
Pu1 0.0000 0.5000 0.5000 (multiplicity 9)
Se1 0.0000 0.0000 0.2346 (multiplicity 6)
Se2 0.0060 0.5030 0.2347 (multiplicity 18)

The 10 most intense peaks (15 to 90 degrees two-theta), by angle:
(0 2 1), 24.4 deg, 3.641 Å, I = 23; (0 2 4), 28.8 deg, 3.101 Å, I = 100; (0 2 7), 36.7 deg, 2.448 Å, I = 24; (2 0 8), 39.8 deg, 2.262 Å, I = 35; (2 2 0), 42.5 deg, 2.129 Å, I = 37; (2 2 3), 44.2 deg, 2.051 Å, I = 19; (2 0 11), 50.3 deg, 1.814 Å, I = 13; (4 0 4), 52.1 deg, 1.755 Å, I = 19; (2 2 12), 65.7 deg, 1.422 Å, I = 12; (2 4 4), 69.4 deg, 1.354 Å, I = 16


Record 2
Starting from a DFT-relaxed cell (PBE, Alexandria), the XRD peak list of CaHg3F8 was simulated for a wavelength of 1.5418 Å.
No peak broadening, texture or thermal motion is included.

Crystal structure
Cell: 5.618 5.618 5.618 Å, 90.00 90.00 90.00°
Space group Pm-3m (No. 221)
Symmetry-distinct sites (fractional):
Ca1 0.000 0.000 0.000 (multiplicity 1)
Hg1 0.000 0.500 0.500 (multiplicity 3)
F1 0.246 0.246 0.246 (multiplicity 8)

The 10 most intense peaks (15 to 90 degrees two-theta), by angle:
(1 0 0), 15.8 deg, 5.618 Å, I = 15; (1 1 0), 22.4 deg, 3.972 Å, I = 14; (1 1 1), 27.5 deg, 3.243 Å, I = 100; (2 0 0), 31.9 deg, 2.809 Å, I = 29; (2 1 0), 35.7 deg, 2.512 Å, I = 10; (2 2 0), 45.7 deg, 1.986 Å, I = 58; (3 1 1), 54.1 deg, 1.694 Å, I = 47; (3 3 1), 73.5 deg, 1.289 Å, I = 19; (4 2 0), 75.7 deg, 1.256 Å, I = 12; (4 2 2), 84.5 deg, 1.147 Å, I = 19


Record 3
Starting from a DFT-relaxed cell (PBE, Alexandria), the XRD peak list of BP3RhC was simulated for a wavelength of 1.5418 Å.
No peak broadening, texture or thermal motion is included.

Crystal structure
Cell: 8.846 3.128 6.468 Å, 90.00 116.19 90.00°
Space group Cm (No. 8)
Symmetry-distinct sites (fractional):
B1 0.000 0.000 0.000 (multiplicity 2)
P1 0.123 0.500 0.752 (multiplicity 2)
P2 0.330 0.500 0.668 (multiplicity 2)
P3 0.427 0.000 0.124 (multiplicity 2)
Rh1 0.371 0.000 0.452 (multiplicity 2)
C1 0.173 0.000 0.944 (multiplicity 2)

The 10 most intense peaks (15 to 90 degrees two-theta), by angle:
(0 0 1), 15.3 deg, 5.804 Å, I = 93; (2 0 -1), 20.8 deg, 4.270 Å, I = 60; (2 0 0), 22.4 deg, 3.969 Å, I = 100; (2 0 -2), 29.0 deg, 3.077 Å, I = 47; (1 1 0), 30.7 deg, 2.909 Å, I = 87; (1 1 -1), 32.1 deg, 2.789 Å, I = 99; (2 0 1), 32.5 deg, 2.758 Å, I = 72; (1 1 -2), 40.2 deg, 2.245 Å, I = 47; (3 1 -2), 45.2 deg, 2.005 Å, I = 55; (1 1 2), 47.7 deg, 1.906 Å, I = 32


Record 4
Starting from a DFT-relaxed cell (PBE, Alexandria), the XRD peak list of Li3Cd4Pd was simulated for a wavelength of 1.5418 Å.
No peak broadening, texture or thermal motion is included.

Crystal structure
Cell: 9.584 6.092 4.931 Å, 90.00 90.00 90.00°
Space group Pmma (No. 51)
Symmetry-distinct sites (fractional):
Li1 0.000 0.000 0.000 (multiplicity 2)
Li2 0.250 0.000 0.407 (multiplicity 2)
Li3 0.250 0.500 0.393 (multiplicity 2)
Cd1 0.000 0.252 0.500 (multiplicity 4)
Cd2 0.250 0.250 0.914 (multiplicity 4)
Pd1 0.000 0.500 0.000 (multiplicity 2)

The 10 most intense peaks (15 to 90 degrees two-theta), by angle:
(1 0 1), 20.3 deg, 4.385 Å, I = 12; (2 0 1), 25.9 deg, 3.437 Å, I = 48; (0 2 0), 29.3 deg, 3.046 Å, I = 21; (0 0 2), 36.4 deg, 2.466 Å, I = 22; (4 0 0), 37.5 deg, 2.396 Å, I = 33; (2 2 1), 39.5 deg, 2.279 Å, I = 100; (4 2 0), 48.3 deg, 1.883 Å, I = 10; (4 0 2), 53.3 deg, 1.718 Å, I = 14; (6 2 1), 69.1 deg, 1.360 Å, I = 18; (4 4 0), 73.7 deg, 1.285 Å, I = 11